For LaTb4HoTm2, a cell relaxed with GGA-PBE gives the simulated powder diffraction line list in this record (λ = 1.5418 Å (Cu Kα)).
Lines closer than 0.1° are merged.

Top 12 peaks for 2θ from 10° to 90°, by angle:
| h k l | 2theta | intensity |
| --- | --- | --- |
| 2 0 1 | 29.84 | 339 |
| 2 2 -1 | 29.95 | 171 |
| 0 0 4 | 31.06 | 411 |
| 0 2 2 | 32.82 | 1000 |
| 2 2 -2 | 32.91 | 207 |
| 2 2 3 | 37.30 | 245 |
| 2 2 5 | 49.30 | 105 |
| 4 2 0 | 51.15 | 206 |
| 0 2 6 | 56.38 | 211 |
| 2 -2 4 | 60.88 | 122 |
| 4 2 -4 | 61.06 | 241 |
| 4 0 -2 | 61.99 | 129 |

Atomic structure:
abc: 7.143 7.144 11.516
angles: 89.95 89.97 60.24
Atoms (fractional coordinates):
La: 0.000 0.000 0.000
La: 0.500 0.500 0.000
Tb: 0.167 0.167 0.253
Tb: 0.167 0.667 0.254
Tb: 0.333 0.333 0.747
Tb: 0.333 0.832 0.747
Tb: 0.667 0.168 0.253
Tb: 0.667 0.667 0.253
Tb: 0.833 0.333 0.746
Tb: 0.833 0.833 0.747
Ho: 0.000 0.000 0.500
Ho: 0.000 0.500 0.000
Tm: 0.000 0.500 0.500
Tm: 0.500 0.000 0.000
Tm: 0.500 0.000 0.500
Tm: 0.500 0.500 0.500